For K2TlInBr6, a crystal structure in the Materials Project, relaxed with PBE gives the calculated powder XRD pattern in this record (Cu Kα X-rays).
Neutral-atom scattering factors, no anomalous dispersion.

Atomic structure:
a b c (Å): 8.2602 8.2602 8.2602
angles (deg): 60.00 60.00 60.00
Element x y z (fractional)
1 K 0.2500 0.2500 0.2500
2 K 0.7500 0.7500 0.7500
3 Tl 0.0000 0.0000 0.0000
4 In 0.5000 0.5000 0.5000
5 Br 0.2680 0.2680 0.7320
6 Br 0.2680 0.7320 0.2680
7 Br 0.2680 0.7320 0.7320
8 Br 0.7320 0.2680 0.2680
9 Br 0.7320 0.2680 0.7320
10 Br 0.7320 0.7320 0.2680

The 6 most intense peaks (15 to 90 degrees two-theta), by angle:
| Position (°2θ) | intensity |
| --- | --- |
| 15.17 | 100 |
| 21.52 | 33 |
| 30.61 | 90 |
| 34.33 | 51 |
| 43.84 | 63 |
| 46.65 | 27 |